# 1
# Pd2I6Cl
Theoretical X-ray diffraction stick pattern, Cu Kα. Input: DFT lattice parameters and positions (PBE).
Lines closer than 0.1° are merged.

Structure:
```
data_Pd2I6Cl
_chemical_formula_sum 'Pd2 I6 Cl1'
_space_group_name_H-M_alt 'P -1'
_space_group_IT_number 2
_space_group_name_Hall '-P 1'
_cell_length_a 4.4891
_cell_length_b 8.8891
_cell_length_c 9.1724
_cell_angle_alpha 86.00
_cell_angle_beta 81.23
_cell_angle_gamma 89.90
loop_
_atom_site_label
_atom_site_fract_x
_atom_site_fract_y
_atom_site_fract_z
Pd1 0.1850 0.1171 0.3202
I1 0.1944 0.8332 0.4323
I2 0.1970 0.4108 0.2628
I3 0.3167 0.9357 0.8599
Cl1 0.5000 0.5000 0.0000
```

Main lines, sorted by position (10 to 90 degrees two-theta):
- 2θ 13.48, rel. 71, hkl 0 1 1
- 2θ 20.91, rel. 85, hkl 1 0 1
- 2θ 25.90, rel. 39, hkl 1 0 2
- 2θ 27.37, rel. 100, hkl 1 1 2
- 2θ 28.33, rel. 32, hkl 1 -2 0
- 2θ 30.29, rel. 60, hkl 1 0 -2
- 2θ 32.53, rel. 69, hkl 0 3 -1
- 2θ 39.33, rel. 34, hkl -1 1 3
- 2θ 40.48, rel. 36, hkl 0 1 4
- 2θ 40.68, rel. 32, hkl 2 0 0

***

# 2
# RbPdICl6
Theoretical X-ray diffraction stick pattern, Cu Kα. Input: DFT lattice parameters and positions (PBE).
Lines closer than 0.1° are merged.

Structure:
```
data_RbPdICl6
_chemical_formula_sum 'Rb2 Pd2 I2 Cl12'
_space_group_name_H-M_alt 'C 1 2 1'
_space_group_IT_number 5
_space_group_name_Hall 'C 2y'
_cell_length_a 7.6351
_cell_length_b 13.1995
_cell_length_c 6.4001
_cell_angle_alpha 90.00
_cell_angle_beta 90.09
_cell_angle_gamma 90.00
loop_
_atom_site_label
_atom_site_fract_x
_atom_site_fract_y
_atom_site_fract_z
Rb1 0.0000 0.0000 0.0000
Pd1 0.0000 0.3334 0.5000
I1 0.0000 0.6669 0.5000
Cl1 0.1229 0.4614 0.7115
Cl2 0.1301 0.2078 0.7116
Cl3 0.2468 0.8309 0.7108
```

Main lines, sorted by position (10 to 90 degrees two-theta):
- 2θ 13.40, rel. 19, hkl 0 2 0
- 2θ 13.84, rel. 33, hkl 0 0 1
- 2θ 19.31, rel. 100, hkl 0 2 1
- 2θ 23.32, rel. 41, hkl 2 0 0
- 2θ 27.22, rel. 36, hkl 1 3 1
- 2θ 30.45, rel. 27, hkl 2 2 1
- 2θ 36.66, rel. 65, hkl 1 3 2
- 2θ 38.71, rel. 42, hkl 1 5 1
- 2θ 40.99, rel. 25, hkl 0 6 0
- 2θ 63.00, rel. 13, hkl 2 0 4

***

# 3
# Pr2ICl5
Theoretical X-ray diffraction stick pattern, Cu Kα. Input: DFT lattice parameters and positions (PBE).
Lines closer than 0.1° are merged.

Structure:
```
data_Pr2ICl5
_chemical_formula_sum 'Pr4 I2 Cl10'
_space_group_name_H-M_alt 'I m m m'
_space_group_IT_number 71
_space_group_name_Hall '-I 2 2'
_cell_length_a 4.7085
_cell_length_b 8.5627
_cell_length_c 11.2004
_cell_angle_alpha 90.00
_cell_angle_beta 90.00
_cell_angle_gamma 90.00
loop_
_atom_site_label
_atom_site_fract_x
_atom_site_fract_y
_atom_site_fract_z
Pr1 0.0000 0.0000 0.2428
I1 0.0000 0.5000 0.0000
Cl1 0.0000 0.0000 0.0000
Cl2 0.0000 0.3140 0.3324
```

Main lines, sorted by position (10 to 90 degrees two-theta):
- 2θ 15.82, rel. 29, hkl 0 0 2
- 2θ 20.75, rel. 47, hkl 0 2 0
- 2θ 26.84, rel. 100, hkl 1 1 2
- 2θ 29.30, rel. 35, hkl 1 2 1
- 2θ 30.56, rel. 22, hkl 1 0 3
- 2θ 38.23, rel. 29, hkl 2 0 0
- 2θ 38.41, rel. 39, hkl 0 2 4
- 2θ 40.31, rel. 56, hkl 1 3 2
- 2θ 53.91, rel. 33, hkl 0 4 4
- 2θ 55.31, rel. 26, hkl 2 2 4

***

# 4
# Pr6Ru2I3Cl
Theoretical X-ray diffraction stick pattern, Cu Kα. Input: DFT lattice parameters and positions (PBE).
Lines closer than 0.1° are merged.

Structure:
```
data_Pr6Ru2I3Cl
_chemical_formula_sum 'Pr12 Ru4 I6 Cl2'
_space_group_name_H-M_alt 'C 1 2/m 1'
_space_group_IT_number 12
_space_group_name_Hall '-C 2y'
_cell_length_a 7.3796
_cell_length_b 12.7731
_cell_length_c 8.5319
_cell_angle_alpha 90.00
_cell_angle_beta 106.60
_cell_angle_gamma 90.00
loop_
_atom_site_label
_atom_site_fract_x
_atom_site_fract_y
_atom_site_fract_z
Pr1 0.2022 0.0000 0.1890
Pr2 0.2437 0.3196 0.1903
Ru1 0.0000 0.1669 0.0000
I1 0.0000 0.0000 0.5000
I2 0.0000 0.3358 0.5000
Cl1 0.0000 0.5000 0.0000
```

Main lines, sorted by position (10 to 90 degrees two-theta):
- 2θ 28.23, rel. 100, hkl 2 0 -2
- 2θ 30.32, rel. 17, hkl 2 0 1
- 2θ 32.86, rel. 10, hkl 0 0 3
- 2θ 35.33, rel. 8, hkl 2 0 -3
- 2θ 38.17, rel. 29, hkl 1 3 -3
- 2θ 42.45, rel. 35, hkl 0 6 0
- 2θ 51.76, rel. 18, hkl 2 6 -2
- 2θ 54.63, rel. 12, hkl 2 0 -5
- 2θ 54.74, rel. 8, hkl 3 3 -4
- 2θ 69.09, rel. 12, hkl 5 3 -3

***

# 5
# PtI4Cl
Theoretical X-ray diffraction stick pattern, Cu Kα. Input: DFT lattice parameters and positions (PBE).
Lines closer than 0.1° are merged.

Structure:
```
data_PtI4Cl
_chemical_formula_sum 'Pt4 I16 Cl4'
_space_group_name_H-M_alt 'C 1 2/c 1'
_space_group_IT_number 15
_space_group_name_Hall '-C 2yc'
_cell_length_a 9.0788
_cell_length_b 18.9202
_cell_length_c 6.9415
_cell_angle_alpha 90.00
_cell_angle_beta 123.22
_cell_angle_gamma 90.00
loop_
_atom_site_label
_atom_site_fract_x
_atom_site_fract_y
_atom_site_fract_z
Pt1 0.0000 0.0514 0.2500
I1 0.1877 0.1628 0.2553
I2 0.2002 0.0500 0.7126
Cl1 0.0000 0.3477 0.7500
```

Main lines, sorted by position (10 to 90 degrees two-theta):
- 2θ 12.56, rel. 100, hkl 1 1 0
- 2θ 17.92, rel. 31, hkl 0 2 1
- 2θ 24.27, rel. 23, hkl 0 4 1
- 2θ 27.34, rel. 56, hkl 2 4 -1
- 2θ 30.80, rel. 38, hkl 0 0 2
- 2θ 34.73, rel. 18, hkl 2 6 -1
- 2θ 38.29, rel. 36, hkl 3 5 -1
- 2θ 39.63, rel. 17, hkl 2 4 1
- 2θ 43.58, rel. 16, hkl 2 4 -3
- 2θ 52.58, rel. 16, hkl 3 5 1

***

# 6
# PtI2Cl
Theoretical X-ray diffraction stick pattern, Cu Kα. Input: DFT lattice parameters and positions (PBE).
Lines closer than 0.1° are merged.

Structure:
```
data_PtI2Cl
_chemical_formula_sum 'Pt4 I8 Cl4'
_space_group_name_H-M_alt 'P n n a'
_space_group_IT_number 52
_space_group_name_Hall '-P 2a 2bc'
_cell_length_a 7.0016
_cell_length_b 6.4767
_cell_length_c 11.2250
_cell_angle_alpha 90.00
_cell_angle_beta 90.00
_cell_angle_gamma 90.00
loop_
_atom_site_label
_atom_site_fract_x
_atom_site_fract_y
_atom_site_fract_z
Pt1 0.2500 0.0000 0.0921
I1 0.0690 0.2254 0.9176
Cl1 0.1260 0.2500 0.2500
```

Main lines, sorted by position (10 to 90 degrees two-theta):
- 2θ 15.80, rel. 100, hkl 0 1 1
- 2θ 20.28, rel. 16, hkl 1 1 1
- 2θ 24.54, rel. 36, hkl 1 1 2
- 2θ 28.99, rel. 24, hkl 2 1 0
- 2θ 30.09, rel. 16, hkl 2 1 1
- 2θ 30.40, rel. 51, hkl 1 1 3
- 2θ 37.85, rel. 27, hkl 2 2 0
- 2θ 38.97, rel. 41, hkl 1 2 3
- 2θ 45.82, rel. 27, hkl 3 0 3
- 2θ 50.31, rel. 24, hkl 2 3 1

***

# 7
# TePtICl
Theoretical X-ray diffraction stick pattern, Cu Kα. Input: DFT lattice parameters and positions (PBE).
Lines closer than 0.1° are merged.

Structure:
```
data_TePtICl
_chemical_formula_sum 'Te1 Pt1 I1 Cl1'
_space_group_name_H-M_alt 'P 3 m 1'
_space_group_IT_number 156
_space_group_name_Hall 'P 3 -2"'
_cell_length_a 3.9625
_cell_length_b 3.9625
_cell_length_c 7.9993
_cell_angle_alpha 90.00
_cell_angle_beta 90.00
_cell_angle_gamma 120.00
loop_
_atom_site_label
_atom_site_fract_x
_atom_site_fract_y
_atom_site_fract_z
Te1 0.0000 0.0000 0.0000
Pt1 0.6667 0.3333 0.1829
I1 0.3333 0.6667 0.3828
Cl1 0.6667 0.3333 0.7311
```

Main lines, sorted by position (10 to 90 degrees two-theta):
- 2θ 11.06, rel. 100, hkl 0 0 1
- 2θ 28.30, rel. 63, hkl 1 0 1
- 2θ 34.44, rel. 84, hkl 1 0 2
- 2θ 42.96, rel. 34, hkl 0 1 3
- 2θ 45.80, rel. 36, hkl 1 1 0
- 2θ 47.27, rel. 18, hkl 1 1 1
- 2θ 53.00, rel. 17, hkl 0 1 4
- 2θ 58.54, rel. 18, hkl 0 2 2
- 2θ 76.54, rel. 12, hkl 1 1 5
- 2θ 77.34, rel. 16, hkl 2 1 2

***

# 8
# Pu3I3Cl5
Theoretical X-ray diffraction stick pattern, Cu Kα. Input: DFT lattice parameters and positions (PBE).
Lines closer than 0.1° are merged.

Structure:
```
data_Pu3I3Cl5
_chemical_formula_sum 'Pu3 I3 Cl5'
_space_group_name_H-M_alt 'P -6 2 m'
_space_group_IT_number 189
_space_group_name_Hall 'P -6 -2'
_cell_length_a 8.7688
_cell_length_b 8.7688
_cell_length_c 6.1860
_cell_angle_alpha 90.00
_cell_angle_beta 90.00
_cell_angle_gamma 120.00
loop_
_atom_site_label
_atom_site_fract_x
_atom_site_fract_y
_atom_site_fract_z
Pu1 0.0000 0.6420 0.0000
I1 0.0000 0.6250 0.5000
Cl1 0.0000 0.2560 0.0000
Cl2 0.3333 0.6667 0.0000
```

Main lines, sorted by position (10 to 90 degrees two-theta):
- 2θ 14.32, rel. 21, hkl 0 0 1
- 2θ 20.25, rel. 100, hkl 1 1 0
- 2θ 28.87, rel. 25, hkl 0 0 2
- 2θ 31.17, rel. 11, hkl 2 1 0
- 2θ 35.50, rel. 81, hkl 3 0 0
- 2θ 41.18, rel. 14, hkl 2 2 0
- 2θ 42.97, rel. 15, hkl 3 1 0
- 2θ 46.35, rel. 29, hkl 3 0 2
- 2θ 51.07, rel. 16, hkl 2 2 2
- 2θ 63.70, rel. 15, hkl 3 3 0

***

# 9
# Pu2ICl2
Theoretical X-ray diffraction stick pattern, Cu Kα. Input: DFT lattice parameters and positions (PBE).
Lines closer than 0.1° are merged.

Structure:
```
data_Pu2ICl2
_chemical_formula_sum 'Pu8 I4 Cl8'
_space_group_name_H-M_alt 'I 41 m d'
_space_group_IT_number 109
_space_group_name_Hall 'I 4bw -2'
_cell_length_a 9.7236
_cell_length_b 9.7236
_cell_length_c 7.7109
_cell_angle_alpha 90.00
_cell_angle_beta 90.00
_cell_angle_gamma 90.00
loop_
_atom_site_label
_atom_site_fract_x
_atom_site_fract_y
_atom_site_fract_z
Pu1 0.0000 0.1903 0.0000
I1 0.0000 0.0000 0.6405
Cl1 0.0000 0.2973 0.3393
```

Main lines, sorted by position (10 to 90 degrees two-theta):
- 2θ 14.66, rel. 100, hkl 1 0 1
- 2θ 18.25, rel. 22, hkl 2 0 0
- 2θ 23.49, rel. 24, hkl 2 1 1
- 2θ 29.04, rel. 25, hkl 3 1 0
- 2θ 29.57, rel. 51, hkl 2 0 2
- 2θ 29.90, rel. 41, hkl 3 0 1
- 2θ 35.26, rel. 65, hkl 3 2 1
- 2θ 36.15, rel. 23, hkl 1 0 3
- 2θ 46.07, rel. 24, hkl 3 3 2
- 2θ 48.26, rel. 26, hkl 5 0 1

***

# 10
# Rb8I3Cl4
Theoretical X-ray diffraction stick pattern, Cu Kα. Input: DFT lattice parameters and positions (PBE).
Lines closer than 0.1° are merged.

Structure:
```
data_Rb8I3Cl4
_chemical_formula_sum 'Rb16 I6 Cl8'
_space_group_name_H-M_alt 'C 1 2/m 1'
_space_group_IT_number 12
_space_group_name_Hall '-C 2y'
_cell_length_a 14.2163
_cell_length_b 14.2364
_cell_length_c 10.0219
_cell_angle_alpha 90.00
_cell_angle_beta 134.62
_cell_angle_gamma 90.00
loop_
_atom_site_label
_atom_site_fract_x
_atom_site_fract_y
_atom_site_fract_z
Rb1 0.0000 0.2407 0.0000
Rb2 0.0000 0.2417 0.5000
Rb3 0.2281 0.0000 0.9774
Rb4 0.2364 0.0000 0.4831
I1 0.0000 0.5000 0.0000
I2 0.2500 0.2500 0.0000
Cl1 0.0000 0.0000 0.0000
Cl2 0.0000 0.0000 0.5000
Cl3 0.2500 0.2500 0.5000
```

Main lines, sorted by position (10 to 90 degrees two-theta):
- 2θ 12.41, rel. 12, hkl 0 0 1
- 2θ 17.64, rel. 10, hkl 2 2 -1
- 2θ 25.01, rel. 100, hkl 0 4 0
- 2θ 35.49, rel. 12, hkl 4 0 0
- 2θ 35.67, rel. 51, hkl 4 4 -2
- 2θ 35.84, rel. 13, hkl 4 0 -4
- 2θ 43.91, rel. 13, hkl 4 4 0
- 2θ 44.21, rel. 14, hkl 4 4 -4
- 2θ 57.94, rel. 11, hkl 4 8 -2
- 2θ 58.04, rel. 9, hkl 4 0 -6

***

# 11
# Rb2ICl5
Theoretical X-ray diffraction stick pattern, Cu Kα. Input: DFT lattice parameters and positions (PBE).
Lines closer than 0.1° are merged.

Structure:
```
data_Rb2ICl5
_chemical_formula_sum 'Rb4 I2 Cl10'
_space_group_name_H-M_alt 'C 1 m 1'
_space_group_IT_number 8
_space_group_name_Hall 'C -2y'
_cell_length_a 9.7712
_cell_length_b 8.8837
_cell_length_c 7.9615
_cell_angle_alpha 90.00
_cell_angle_beta 118.88
_cell_angle_gamma 90.00
loop_
_atom_site_label
_atom_site_fract_x
_atom_site_fract_y
_atom_site_fract_z
Rb1 0.0000 0.0000 0.0000
Rb2 0.0156 0.5000 0.2951
I1 0.2580 0.0000 0.6482
Cl1 0.2476 0.2016 0.8727
Cl2 0.2607 0.5000 0.1520
Cl3 0.2689 0.2015 0.4244
```

Main lines, sorted by position (10 to 90 degrees two-theta):
- 2θ 14.37, rel. 43, hkl 1 1 0
- 2θ 18.36, rel. 34, hkl 2 0 -1
- 2θ 19.99, rel. 29, hkl 0 2 0
- 2θ 22.33, rel. 100, hkl 1 1 1
- 2θ 24.58, rel. 35, hkl 1 1 -2
- 2θ 27.27, rel. 25, hkl 2 2 -1
- 2θ 29.30, rel. 52, hkl 3 1 -1
- 2θ 31.35, rel. 40, hkl 2 2 -2
- 2θ 36.44, rel. 21, hkl 1 3 1
- 2θ 37.92, rel. 33, hkl 1 3 -2

***

# 12
# Rb2I2Cl
Theoretical X-ray diffraction stick pattern, Cu Kα. Input: DFT lattice parameters and positions (PBE).
Lines closer than 0.1° are merged.

Structure:
```
data_Rb2I2Cl
_chemical_formula_sum 'Rb8 I8 Cl4'
_space_group_name_H-M_alt 'I 41/a m d'
_space_group_IT_number 141
_cell_length_a 4.9937
_cell_length_b 4.9937
_cell_length_c 38.8881
_cell_angle_alpha 90.00
_cell_angle_beta 90.00
_cell_angle_gamma 90.00
loop_
_space_group_symop_operation_xyz
'x,y,z'
'-x,-y,-z'
'-y+1/4,x+3/4,z+1/4'
'y+1/4,-x+3/4,-z+1/4'
'-x+1/2,-y,z+1/2'
'x+1/2,y,-z+1/2'
'y+1/4,-x+1/4,z+3/4'
'-y+1/4,x+1/4,-z+3/4'
'x,-y,-z'
'-x,y,z'
'-y+1/4,-x+1/4,-z+3/4'
'y+1/4,x+1/4,z+3/4'
'-x+1/2,y,-z+1/2'
'x+1/2,-y,z+1/2'
'y+1/4,x+3/4,-z+1/4'
'-y+1/4,-x+3/4,z+1/4'
'x+1/2,y+1/2,z+1/2'
'-x+1/2,-y+1/2,-z+1/2'
'-y+3/4,x+1/4,z+3/4'
'y+3/4,-x+1/4,-z+3/4'
'-x,-y+1/2,z'
'x,y+1/2,-z'
'y+3/4,-x+3/4,z+1/4'
'-y+3/4,x+3/4,-z+1/4'
'x+1/2,-y+1/2,-z+1/2'
'-x+1/2,y+1/2,z+1/2'
'-y+3/4,-x+3/4,-z+1/4'
'y+3/4,x+3/4,z+1/4'
'-x,y+1/2,-z'
'x,-y+1/2,z'
'y+3/4,x+1/4,-z+3/4'
'-y+3/4,-x+1/4,z+3/4'
loop_
_atom_site_label
_atom_site_fract_x
_atom_site_fract_y
_atom_site_fract_z
Rb1 0.0000 0.2500 0.0717
I1 0.0000 0.2500 0.2139
Cl1 0.0000 0.2500 0.8750
```

Main lines, sorted by position (10 to 90 degrees two-theta):
- 2θ 19.05, rel. 22, hkl 1 0 3
- 2θ 23.96, rel. 43, hkl 1 0 7
- 2θ 25.64, rel. 46, hkl 1 1 2
- 2θ 27.29, rel. 40, hkl 1 0 9
- 2θ 28.79, rel. 100, hkl 1 1 6
- 2θ 34.96, rel. 26, hkl 1 0 13
- 2θ 35.97, rel. 46, hkl 2 0 0
- 2θ 39.15, rel. 30, hkl 1 0 15
- 2θ 54.21, rel. 22, hkl 2 1 15
- 2θ 60.33, rel. 28, hkl 3 1 6

***

# 13
# Rb3I6Cl
Theoretical X-ray diffraction stick pattern, Cu Kα. Input: DFT lattice parameters and positions (PBE).
Lines closer than 0.1° are merged.

Structure:
```
data_Rb3I6Cl
_chemical_formula_sum 'Rb6 I12 Cl2'
_space_group_name_H-M_alt 'I 4/m m m'
_space_group_IT_number 139
_space_group_name_Hall '-I 4 2'
_cell_length_a 9.4450
_cell_length_b 9.4450
_cell_length_c 12.1577
_cell_angle_alpha 90.00
_cell_angle_beta 90.00
_cell_angle_gamma 90.00
loop_
_atom_site_label
_atom_site_fract_x
_atom_site_fract_y
_atom_site_fract_z
Rb1 0.0000 0.0000 0.0000
Rb2 0.0000 0.5000 0.2500
I1 0.0000 0.0000 0.2830
I2 0.2432 0.2432 0.5000
Cl1 0.0000 0.0000 0.5000
```

Main lines, sorted by position (10 to 90 degrees two-theta):
- 2θ 13.26, rel. 13, hkl 1 1 0
- 2θ 23.86, rel. 100, hkl 2 0 2
- 2θ 26.70, rel. 65, hkl 2 2 0
- 2θ 29.38, rel. 22, hkl 0 0 4
- 2θ 38.11, rel. 25, hkl 4 0 0
- 2θ 40.12, rel. 36, hkl 2 2 4
- 2θ 45.47, rel. 35, hkl 4 2 2
- 2θ 48.84, rel. 21, hkl 4 0 4
- 2θ 62.16, rel. 12, hkl 6 2 0
- 2θ 70.22, rel. 13, hkl 6 2 4